No. 1
Diffraction record for Sn2TeP. The powder diffraction line list is simulated, not measured: it uses a cell relaxed with PBE and Cu Kα (weighted mean of Kα1 and Kα2).
Kinematic intensities with the Lorentz-polarization factor, no thermal factor.

Largest 10 diffraction maxima, in order of falling intensity, 2θ = 5–70°:
32.2 deg, rel. 100
44.4 deg, rel. 46
29.8 deg, rel. 40
25.5 deg, rel. 33
47.9 deg, rel. 23
55.9 deg, rel. 21
37.8 deg, rel. 17
58.3 deg, rel. 16
26.4 deg, rel. 14
67.8 deg, rel. 12

Structural model:
```
data_Sn2TeP
_space_group_name_H-M_alt 'P 1'
_space_group_IT_number 1
_cell_length_a 7.869
_cell_length_b 7.869
_cell_length_c 7.869
_cell_angle_alpha 30.07
_cell_angle_beta 30.07
_cell_angle_gamma 30.07
loop_
_space_group_symop_operation_xyz
'x,y,z'
loop_
_atom_site_label
_atom_site_type_symbol
_atom_site_fract_x
_atom_site_fract_y
_atom_site_fract_z
_atom_site_occupancy
Sn1 Sn 0.000 0.000 0.000 1
Sn2 Sn 0.193 0.193 0.193 1
Te1 Te 0.418 0.418 0.418 1
P1 P 0.591 0.591 0.591 1
```

***

No. 2
Diffraction record for RbErAgCl5. The powder diffraction line list is simulated, not measured: it uses a cell relaxed with PBE and Cu Kα (weighted mean of Kα1 and Kα2).
Kinematic intensities with the Lorentz-polarization factor, no thermal factor.

Largest 10 diffraction maxima, in order of falling intensity, 2θ = 5–70°:
19.3 deg, rel. 100
23.9 deg, rel. 72
21.5 deg, rel. 68
23.6 deg, rel. 59
12.8 deg, rel. 39
39.2 deg, rel. 37
49.0 deg, rel. 30
36.4 deg, rel. 30
41.9 deg, rel. 28
40.4 deg, rel. 27

Structural model:
```
data_RbErAgCl5
_space_group_name_H-M_alt 'P 1'
_space_group_IT_number 1
_cell_length_a 7.661
_cell_length_b 7.661
_cell_length_c 10.116
_cell_angle_alpha 102.09
_cell_angle_beta 102.09
_cell_angle_gamma 109.36
loop_
_space_group_symop_operation_xyz
'x,y,z'
loop_
_atom_site_label
_atom_site_type_symbol
_atom_site_fract_x
_atom_site_fract_y
_atom_site_fract_z
_atom_site_occupancy
Rb1 Rb 0.160 0.840 0.750 1
Rb2 Rb 0.840 0.160 0.250 1
Er1 Er 0.500 0.500 0.000 1
Er2 Er 0.500 0.500 0.500 1
Ag1 Ag 0.189 0.811 0.250 1
Ag2 Ag 0.811 0.189 0.750 1
Cl1 Cl 0.141 0.253 0.934 1
Cl2 Cl 0.207 0.595 0.414 1
Cl3 Cl 0.253 0.141 0.434 1
Cl4 Cl 0.405 0.793 0.086 1
Cl5 Cl 0.436 0.564 0.750 1
Cl6 Cl 0.564 0.436 0.250 1
Cl7 Cl 0.595 0.207 0.914 1
Cl8 Cl 0.747 0.859 0.566 1
Cl9 Cl 0.793 0.405 0.586 1
Cl10 Cl 0.859 0.747 0.066 1
```

***

No. 3
Diffraction record for Pm6Nd5. The powder diffraction line list is simulated, not measured: it uses a cell relaxed with PBE and Cu Kα (weighted mean of Kα1 and Kα2).
Kinematic intensities with the Lorentz-polarization factor, no thermal factor.

Largest 10 diffraction maxima, in order of falling intensity, 2θ = 5–70°:
31.3 deg, rel. 100
29.0 deg, rel. 21
55.6 deg, rel. 18
31.7 deg, rel. 12
33.2 deg, rel. 10
32.6 deg, rel. 9
61.3 deg, rel. 9
62.2 deg, rel. 9
54.3 deg, rel. 9
46.2 deg, rel. 8

Structural model:
```
data_Pm6Nd5
_space_group_name_H-M_alt 'P 1'
_space_group_IT_number 1
_cell_length_a 9.559
_cell_length_b 9.559
_cell_length_c 9.559
_cell_angle_alpha 145.17
_cell_angle_beta 128.15
_cell_angle_gamma 63.99
loop_
_space_group_symop_operation_xyz
'x,y,z'
loop_
_atom_site_label
_atom_site_type_symbol
_atom_site_fract_x
_atom_site_fract_y
_atom_site_fract_z
_atom_site_occupancy
Pm1 Pm 0.068 0.863 0.205 1
Pm2 Pm 0.206 0.500 0.706 1
Pm3 Pm 0.342 0.137 0.205 1
Pm4 Pm 0.658 0.863 0.795 1
Pm5 Pm 0.794 0.500 0.294 1
Pm6 Pm 0.932 0.137 0.795 1
Nd1 Nd 0.200 0.700 0.500 1
Nd2 Nd 0.340 0.340 0.000 1
Nd3 Nd 0.500 0.000 0.500 1
Nd4 Nd 0.660 0.660 0.000 1
Nd5 Nd 0.800 0.300 0.500 1
```